# 1
# Ce5HgOs
Theoretical X-ray diffraction stick pattern, Cu Kα X-rays. Input: the PBE geometry in Alexandria.

Structural model:
a b c (Å): 5.0103 5.0103 7.3644
angles (deg): 90.00 90.00 90.00
Space group P4/mmm (No. 123)
Unique sites:
Ce  0.0000  0.0000  0.0000 x1
Ce  0.0000  0.5000  0.2962 x4
Hg  0.5000  0.5000  0.0000 x1
Os  0.0000  0.0000  0.5000 x1

Top 8 peaks for 2θ = 10–90°, by angle:
d = 4.143 Å, 2θ = 21.45°, rel. 210, (1 0 1); d = 3.193 Å, 2θ = 27.95°, rel. 182, (1 1 1); d = 2.553 Å, 2θ = 35.15°, rel. 1000, (1 1 2); d = 2.505 Å, 2θ = 35.85°, rel. 566, (2 0 0); d = 1.771 Å, 2θ = 51.60°, rel. 201, (2 2 0); d = 1.753 Å, 2θ = 52.17°, rel. 111, (2 0 3); d = 1.484 Å, 2θ = 62.62°, rel. 108, (2 0 4); d = 1.455 Å, 2θ = 63.97°, rel. 353, (3 1 2)

---

# 2
# La3B2O8
Theoretical X-ray diffraction stick pattern, Cu Kα X-rays. Input: the PBE geometry in Alexandria.

Structural model:
a b c (Å): 5.1883 5.1883 19.4183
angles (deg): 90.00 90.00 120.00
Space group R-3m (No. 166, hexagonal axes)
Unique sites:
La  0.0000  0.0000  0.0000 x3
La  0.0000  0.0000  0.2120 x6
B  0.0000  0.0000  0.4098 x6
O  0.0000  0.0000  0.3324 x6
O  0.0194  0.5097  0.2332 x18

Top 8 peaks for 2θ = 10–90°, by angle:
d = 4.378 Å, 2θ = 20.29°, rel. 450, (1 0 1); d = 3.298 Å, 2θ = 27.04°, rel. 530, (1 0 4); d = 2.938 Å, 2θ = 30.42°, rel. 1000, (0 1 5); d = 2.594 Å, 2θ = 34.58°, rel. 905, (1 1 0); d = 2.039 Å, 2θ = 44.43°, rel. 306, (0 2 4); d = 1.945 Å, 2θ = 46.71°, rel. 399, (2 0 5); d = 1.659 Å, 2θ = 55.39°, rel. 343, (1 1 9); d = 1.556 Å, 2θ = 59.40°, rel. 275, (1 2 5)

---

# 3
# Pb5Cl
Theoretical X-ray diffraction stick pattern, Cu Kα X-rays. Input: the PBE geometry in Alexandria.

Structural model:
a b c (Å): 11.7433 3.5528 9.4410
angles (deg): 90.00 111.63 90.00
Space group Cm (No. 8)
Unique sites:
Pb  0.0000  0.0000  0.0000 x2
Pb  0.0383  0.0000  0.4906 x2
Pb  0.1726  0.5000  0.8199 x2
Pb  0.2125  0.5000  0.3138 x2
Pb  0.3557  0.0000  0.6566 x2
Cl  0.3549  0.0000  0.1541 x2

Top 8 peaks for 2θ = 10–90°, by angle:
d = 2.932 Å, 2θ = 30.49°, rel. 502, (2 0 2); d = 2.836 Å, 2θ = 31.54°, rel. 1000, (1 1 -2); d = 2.542 Å, 2θ = 35.31°, rel. 512, (3 1 0); d = 2.359 Å, 2θ = 38.15°, rel. 197, (2 0 -4); d = 1.751 Å, 2θ = 52.24°, rel. 180, (1 1 4); d = 1.708 Å, 2θ = 53.67°, rel. 107, (5 1 -4); d = 1.547 Å, 2θ = 59.78°, rel. 98, (5 1 2); d = 1.519 Å, 2θ = 60.98°, rel. 146, (2 2 2)